Record 1
LiNbO3: theoretical powder diffractogram (Cu Kα (weighted mean of Kα1 and Kα2)), based on a structure optimized by DFT (GGA-PBE).
Peak positions follow from Bragg's law for the DFT cell and can differ from measured ones.

Structure:
```
LiNbO3
1.0
5.302 0.000 0.000
0.000 5.569 0.000
0.000 0.000 15.149
Li Nb O
8 8 24
Direct
0.245 0.250 0.000
0.245 0.250 0.500
0.249 0.217 0.250
0.249 0.283 0.750
0.751 0.717 0.250
0.751 0.783 0.750
0.755 0.750 0.000
0.755 0.750 0.500
0.257 0.735 0.125
0.257 0.735 0.375
0.257 0.765 0.625
0.257 0.765 0.875
0.743 0.235 0.125
0.743 0.235 0.375
0.743 0.265 0.625
0.743 0.265 0.875
0.066 0.041 0.655
0.066 0.041 0.845
0.066 0.459 0.155
0.066 0.459 0.345
0.130 0.750 0.000
0.130 0.750 0.500
0.365 0.692 0.750
0.365 0.808 0.250
0.436 0.078 0.095
0.436 0.078 0.405
0.436 0.422 0.595
0.436 0.422 0.905
0.564 0.578 0.095
0.564 0.578 0.405
0.564 0.922 0.595
0.564 0.922 0.905
0.635 0.192 0.750
0.635 0.308 0.250
0.870 0.250 0.000
0.870 0.250 0.500
0.934 0.541 0.655
0.934 0.541 0.845
0.934 0.959 0.155
0.934 0.959 0.345
```

Top 10 peaks for 10 to 90 degrees two-theta, in order of rising 2θ:
2θ = 23.16°, 3.840 Å, intensity 100; 2θ = 23.49°, 3.787 Å, intensity 49; 2θ = 32.15°, 2.784 Å, intensity 18; 2θ = 33.22°, 2.697 Å, intensity 58; 2θ = 33.81°, 2.651 Å, intensity 12; 2θ = 47.34°, 1.920 Å, intensity 19; 2θ = 53.51°, 1.713 Å, intensity 19; 2θ = 53.99°, 1.698 Å, intensity 20; 2θ = 58.00°, 1.590 Å, intensity 15; 2θ = 60.11°, 1.539 Å, intensity 18

=====

Record 2
BaAlO3: theoretical powder diffractogram (Cu Kα (weighted mean of Kα1 and Kα2)), based on a structure optimized by DFT (GGA-PBE).
Peak positions follow from Bragg's law for the DFT cell and can differ from measured ones.

Structure:
```
BaAlO3
1.0
3.957 0.000 0.000
0.000 3.957 0.000
0.000 0.000 3.957
Ba Al O
1 1 3
Direct
0.000 0.000 0.000
0.500 0.500 0.500
0.000 0.500 0.500
0.500 0.000 0.500
0.500 0.500 0.000
```

Top 10 peaks for 10 to 90 degrees two-theta, in order of rising 2θ:
2θ = 22.47°, 3.957 Å, intensity 44; 2θ = 31.99°, 2.798 Å, intensity 100; 2θ = 39.44°, 2.284 Å, intensity 44; 2θ = 45.87°, 1.978 Å, intensity 38; 2θ = 51.65°, 1.770 Å, intensity 21; 2θ = 57.01°, 1.615 Å, intensity 39; 2θ = 66.88°, 1.399 Å, intensity 23; 2θ = 71.53°, 1.319 Å, intensity 11; 2θ = 76.07°, 1.251 Å, intensity 18; 2θ = 80.51°, 1.193 Å, intensity 14

=====

Record 3
Bi2Os2O7: theoretical powder diffractogram (Cu Kα (weighted mean of Kα1 and Kα2)), based on a structure optimized by DFT (GGA-PBE).
Peak positions follow from Bragg's law for the DFT cell and can differ from measured ones.

Structure:
```
Bi2Os2O7
1.0
0.000 5.227 5.227
5.227 0.000 5.227
5.227 5.227 0.000
Bi Os O
4 4 14
Direct
0.000 0.000 0.000
0.000 0.000 0.500
0.000 0.500 0.000
0.500 0.000 0.000
0.000 0.500 0.500
0.500 0.000 0.500
0.500 0.500 0.000
0.500 0.500 0.500
0.125 0.125 0.125
0.173 0.173 0.577
0.173 0.577 0.173
0.173 0.577 0.577
0.423 0.423 0.827
0.423 0.827 0.423
0.423 0.827 0.827
0.577 0.173 0.173
0.577 0.173 0.577
0.577 0.577 0.173
0.827 0.423 0.423
0.827 0.423 0.827
0.827 0.827 0.423
0.875 0.875 0.875
```

Top 9 peaks for 10 to 90 degrees two-theta, in order of rising 2θ:
2θ = 29.60°, 3.018 Å, intensity 100; 2θ = 34.31°, 2.614 Å, intensity 39; 2θ = 37.50°, 2.398 Å, intensity 1; 2θ = 49.31°, 1.848 Å, intensity 44; 2θ = 58.57°, 1.576 Å, intensity 45; 2θ = 61.45°, 1.509 Å, intensity 12; 2θ = 72.30°, 1.307 Å, intensity 7; 2θ = 80.01°, 1.199 Å, intensity 19; 2θ = 82.53°, 1.169 Å, intensity 17

=====

Record 4
CaPHO4: theoretical powder diffractogram (Cu Kα (weighted mean of Kα1 and Kα2)), based on a structure optimized by DFT (GGA-PBE).
Peak positions follow from Bragg's law for the DFT cell and can differ from measured ones.

Structure:
```
CaPHO4
1.0
10.194 0.000 0.000
0.000 6.959 0.000
-5.666 0.000 9.706
Ca P H O
8 8 8 32
Direct
0.040 0.013 0.247
0.040 0.487 0.747
0.302 0.190 0.066
0.302 0.310 0.566
0.698 0.690 0.434
0.698 0.810 0.934
0.960 0.513 0.253
0.960 0.987 0.753
0.104 0.750 0.061
0.104 0.750 0.561
0.330 0.509 0.299
0.330 0.991 0.799
0.670 0.009 0.201
0.670 0.491 0.701
0.896 0.250 0.439
0.896 0.250 0.939
0.354 0.580 0.917
0.354 0.920 0.417
0.358 0.134 0.369
0.358 0.366 0.869
0.642 0.634 0.131
0.642 0.866 0.631
0.646 0.080 0.583
0.646 0.420 0.083
0.022 0.230 0.401
0.022 0.270 0.901
0.045 0.723 0.907
0.045 0.777 0.407
0.183 0.557 0.620
0.183 0.943 0.120
0.222 0.023 0.856
0.222 0.477 0.356
0.224 0.576 0.135
0.224 0.924 0.635
0.313 0.049 0.413
0.313 0.451 0.913
0.394 0.182 0.783
0.394 0.318 0.283
0.445 0.667 0.375
0.445 0.833 0.875
0.555 0.167 0.125
0.555 0.333 0.625
0.606 0.682 0.717
0.606 0.818 0.217
0.687 0.549 0.087
0.687 0.951 0.587
0.776 0.076 0.365
0.776 0.424 0.865
0.778 0.523 0.644
0.778 0.977 0.144
0.817 0.057 0.880
0.817 0.443 0.380
0.955 0.223 0.593
0.955 0.277 0.093
0.978 0.730 0.099
0.978 0.770 0.599
```

Top 10 peaks for 10 to 90 degrees two-theta, in order of rising 2θ:
2θ = 10.05°, 8.804 Å, intensity 100; 2θ = 15.94°, 5.558 Å, intensity 29; 2θ = 20.33°, 4.368 Å, intensity 35; 2θ = 23.92°, 3.720 Å, intensity 66; 2θ = 27.28°, 3.269 Å, intensity 26; 2θ = 29.41°, 3.037 Å, intensity 45; 2θ = 30.22°, 2.957 Å, intensity 75; 2θ = 30.46°, 2.934 Å, intensity 42; 2θ = 31.64°, 2.828 Å, intensity 69; 2θ = 51.05°, 1.789 Å, intensity 30

=====

Record 5
CrNi2Hg: theoretical powder diffractogram (Cu Kα (weighted mean of Kα1 and Kα2)), based on a structure optimized by DFT (GGA-PBE).
Peak positions follow from Bragg's law for the DFT cell and can differ from measured ones.

Structure:
```
CrNi2Hg
1.0
6.121 0.000 0.000
0.000 6.121 0.000
0.000 0.000 6.121
Cr Ni Hg
4 8 4
Direct
0.000 0.000 0.000
0.000 0.500 0.500
0.500 0.000 0.500
0.500 0.500 0.000
0.000 0.000 0.500
0.000 0.500 0.000
0.250 0.250 0.750
0.250 0.750 0.250
0.500 0.000 0.000
0.500 0.500 0.500
0.750 0.250 0.250
0.750 0.750 0.750
0.250 0.250 0.250
0.250 0.750 0.750
0.750 0.250 0.750
0.750 0.750 0.250
```

Top 10 peaks for 10 to 90 degrees two-theta, in order of rising 2θ:
2θ = 25.20°, 3.534 Å, intensity 30; 2θ = 29.18°, 3.061 Å, intensity 19; 2θ = 41.73°, 2.164 Å, intensity 100; 2θ = 49.38°, 1.846 Å, intensity 16; 2θ = 51.73°, 1.767 Å, intensity 6; 2θ = 60.50°, 1.530 Å, intensity 16; 2θ = 66.59°, 1.404 Å, intensity 7; 2θ = 68.56°, 1.369 Å, intensity 8; 2θ = 76.19°, 1.250 Å, intensity 32; 2θ = 81.75°, 1.178 Å, intensity 6

=====

Record 6
Mg5ZnN4: theoretical powder diffractogram (Cu Kα (weighted mean of Kα1 and Kα2)), based on a structure optimized by DFT (GGA-PBE).
Peak positions follow from Bragg's law for the DFT cell and can differ from measured ones.

Structure:
```
Mg5ZnN4
1.0
6.759 0.000 0.000
0.000 7.147 0.000
0.000 0.000 5.183
Mg Zn N
10 2 8
Direct
0.003 0.051 0.249
0.003 0.449 0.249
0.250 0.250 0.722
0.497 0.051 0.249
0.497 0.449 0.249
0.503 0.551 0.751
0.503 0.949 0.751
0.750 0.750 0.278
0.997 0.551 0.751
0.997 0.949 0.751
0.250 0.750 0.273
0.750 0.250 0.727
0.001 0.250 0.953
0.250 0.002 0.503
0.250 0.498 0.503
0.499 0.250 0.953
0.501 0.750 0.047
0.750 0.502 0.497
0.750 0.998 0.497
0.999 0.750 0.047
```

Top 10 peaks for 10 to 90 degrees two-theta, in order of rising 2θ:
2θ = 18.06°, 4.911 Å, intensity 32; 2θ = 21.17°, 4.196 Å, intensity 61; 2θ = 34.06°, 2.632 Å, intensity 100; 2θ = 34.61°, 2.592 Å, intensity 35; 2θ = 36.60°, 2.456 Å, intensity 45; 2θ = 41.73°, 2.165 Å, intensity 68; 2θ = 51.25°, 1.783 Å, intensity 98; 2θ = 54.29°, 1.690 Å, intensity 26; 2θ = 70.73°, 1.332 Å, intensity 26; 2θ = 74.34°, 1.276 Å, intensity 25

=====

Record 7
Na3H5C4O8: theoretical powder diffractogram (Cu Kα (weighted mean of Kα1 and Kα2)), based on a structure optimized by DFT (GGA-PBE).
Peak positions follow from Bragg's law for the DFT cell and can differ from measured ones.

Structure:
```
Na3H5C4O8
1.0
3.573 0.000 0.000
1.531 8.417 0.000
0.479 3.455 7.953
Na H C O
3 5 4 8
Direct
0.000 0.000 0.000
0.284 0.463 0.833
0.716 0.537 0.167
0.082 0.161 0.616
0.437 0.138 0.344
0.500 0.500 0.500
0.563 0.862 0.656
0.918 0.839 0.384
0.111 0.726 0.376
0.389 0.194 0.204
0.611 0.806 0.796
0.889 0.274 0.624
0.138 0.706 0.240
0.289 0.357 0.134
0.295 0.624 0.514
0.440 0.090 0.132
0.560 0.910 0.868
0.705 0.376 0.486
0.711 0.643 0.866
0.862 0.294 0.760
```

Top 10 peaks for 10 to 90 degrees two-theta, in order of rising 2θ:
2θ = 11.13°, 7.953 Å, intensity 58; 2θ = 11.46°, 7.720 Å, intensity 51; 2θ = 12.40°, 7.141 Å, intensity 32; 2θ = 29.07°, 3.072 Å, intensity 22; 2θ = 29.47°, 3.031 Å, intensity 35; 2θ = 29.91°, 2.987 Å, intensity 100; 2θ = 30.17°, 2.962 Å, intensity 93; 2θ = 33.81°, 2.651 Å, intensity 27; 2θ = 37.29°, 2.411 Å, intensity 20; 2θ = 51.31°, 1.781 Å, intensity 22